[1]
The following is a computed powder XRD pattern of K3PrP2O8. It was derived from the GGA-PBE geometry in OQMD, using Cu Kα (weighted mean of Kα1 and Kα2).
Lines closer than 0.1° are merged.

Crystal structure
abc: 7.410 5.615 9.545
angles: 90.00 90.74 90.00
Space group P2_1/m (No. 11)
Symmetry-distinct sites (fractional):
K  0.009  0.250  0.190 x2
K  0.135  0.750  0.405 x2
K  0.301  0.250  0.917 x2
Pr  0.492  0.750  0.706 x2
P  0.262  0.750  0.085 x2
P  0.298  0.250  0.575 x2
O  0.056  0.750  0.100 x2
O  0.213  0.250  0.425 x2
O  0.238  0.024  0.656 x4
O  0.319  0.750  0.929 x2
O  0.342  0.525  0.158 x4
O  0.494  0.750  0.441 x2

Top 12 peaks for 15 to 90 degrees two-theta, by angle:
(hkl), two_theta, I/Imax
0 1 1, 18.33, 460
1 1 1, 22.01, 985
1 1 2, 27.43, 291
2 0 -2, 30.32, 978
2 1 1, 30.48, 1000
2 0 2, 30.74, 255
0 2 0, 31.88, 834
0 1 3, 32.34, 964
3 1 -1, 40.92, 271
2 2 -2, 44.61, 409
2 2 2, 44.88, 459
4 0 0, 49.16, 250

[2]
The following is a computed powder XRD pattern of KZrP2Se6O. It was derived from the GGA-PBE geometry in OQMD, using Cu Kα (weighted mean of Kα1 and Kα2).
Lines closer than 0.1° are merged.

Crystal structure
abc: 8.665 11.048 6.625
angles: 90.00 100.35 90.00
Space group C2 (No. 5)
Symmetry-distinct sites (fractional):
K  0.000  0.000  0.000 x2
Zr  0.000  0.427  0.500 x2
P  0.175  0.769  0.576 x4
Se  0.136  0.601  0.756 x4
Se  0.180  0.398  0.209 x4
Se  0.215  0.266  0.703 x4
O  0.000  0.832  0.500 x2

Top 12 peaks for 15 to 90 degrees two-theta, by angle:
(hkl), two_theta, I/Imax
0 2 0, 16.05, 229
0 2 1, 21.08, 216
2 2 0, 26.41, 410
1 3 -1, 28.87, 408
1 3 1, 30.65, 1000
2 0 -2, 31.42, 502
2 2 1, 31.54, 601
3 1 -1, 33.06, 245
2 2 -2, 35.47, 209
2 4 1, 42.66, 253
1 3 -3, 48.15, 335
0 6 0, 49.52, 285

[3]
The following is a computed powder XRD pattern of KSmP4O12. It was derived from the GGA-PBE geometry in OQMD, using Cu Kα (weighted mean of Kα1 and Kα2).
Lines closer than 0.1° are merged.

Crystal structure
abc: 7.777 12.211 10.486
angles: 90.00 110.84 90.00
Space group C2/c (No. 15)
Symmetry-distinct sites (fractional):
K  0.000  0.181  0.250 x4
Sm  0.000  0.120  0.750 x4
P  0.040  0.325  0.002 x8
P  0.215  0.479  0.434 x8
O  0.063  0.424  0.910 x8
O  0.070  0.238  0.594 x8
O  0.090  0.372  0.420 x8
O  0.150  0.013  0.422 x8
O  0.214  0.293  0.115 x8
O  0.224  0.020  0.685 x8

Top 12 peaks for 15 to 90 degrees two-theta, by angle:
(hkl), two_theta, I/Imax
0 2 1, 17.11, 1000
1 1 -2, 19.31, 494
2 0 0, 24.50, 308
2 0 -2, 24.77, 324
1 1 2, 26.33, 965
1 3 1, 28.18, 350
1 3 -2, 28.36, 910
2 2 0, 28.59, 225
2 2 -2, 28.83, 206
2 2 -3, 33.08, 210
0 4 2, 34.62, 233
2 4 0, 38.52, 443

[4]
The following is a computed powder XRD pattern of K3SmP2O8. It was derived from the GGA-PBE geometry in OQMD, using Cu Kα (weighted mean of Kα1 and Kα2).
Lines closer than 0.1° are merged.

Crystal structure
abc: 7.365 5.605 9.453
angles: 90.00 90.84 90.00
Space group P2_1/m (No. 11)
Symmetry-distinct sites (fractional):
K  0.009  0.250  0.190 x2
K  0.133  0.750  0.406 x2
K  0.299  0.250  0.918 x2
Sm  0.492  0.750  0.707 x2
P  0.266  0.750  0.087 x2
P  0.304  0.250  0.574 x2
O  0.059  0.750  0.101 x2
O  0.215  0.250  0.423 x2
O  0.245  0.024  0.656 x4
O  0.323  0.750  0.929 x2
O  0.347  0.525  0.161 x4
O  0.488  0.750  0.447 x2

Top 12 peaks for 15 to 90 degrees two-theta, by angle:
(hkl), two_theta, I/Imax
0 1 1, 18.40, 515
1 1 1, 22.14, 994
1 1 2, 27.62, 282
2 1 -1, 30.44, 510
2 0 -2, 30.56, 452
2 1 1, 30.67, 1000
0 2 0, 31.93, 812
0 1 3, 32.60, 923
1 1 -4, 43.17, 256
2 2 -2, 44.79, 276
2 2 2, 45.12, 385
3 1 -4, 56.10, 248

[5]
The following is a computed powder XRD pattern of KZnP3O9. It was derived from the GGA-PBE geometry in OQMD, using Cu Kα (weighted mean of Kα1 and Kα2).
Lines closer than 0.1° are merged.

Crystal structure
abc: 9.9893 9.9893 6.8557
angles: 90.00 90.00 120.00
Space group R3 (No. 146, hexagonal axes)
Symmetry-distinct sites (fractional):
K  0.0000  0.0000  0.0000 x3
Zn  0.0000  0.0000  0.5082 x3
P  0.0115  0.5679  0.9685 x9
O  0.0136  0.6214  0.7469 x9
O  0.0631  0.1874  0.3220 x9
O  0.1879  0.1085  0.6933 x9

Top 12 peaks for 15 to 90 degrees two-theta, by angle:
(hkl), two_theta, I/Imax
1 0 1, 16.50, 737
1 1 0, 17.76, 1000
0 2 1, 24.33, 291
3 -1 1, 30.28, 260
3 0 0, 31.01, 243
2 0 2, 33.35, 561
2 2 0, 35.96, 199
1 2 2, 38.03, 235
4 -3 1, 39.80, 183
4 -1 2, 46.18, 326
0 2 4, 57.87, 134
2 5 0, 67.63, 167